1.
Theoretical powder X-ray diffraction pattern
Compound: TiZn4Ag3
Radiation: Cu Ka
Structure: a DFT-relaxed cell (GGA-PBE, Alexandria)
Lines closer than 0.1° are merged.

Peak list (10 most intense, 10° ≤ 2θ ≤ 80°, by angle)
two_theta, I/Imax
11.87, 4
23.87, 2
30.46, 2
35.53, 2
39.06, 100
43.62, 36
48.86, 13
63.40, 11
67.55, 18
77.04, 25

Structural model:
```
data_TiZn4Ag3
_chemical_formula_sum 'Ti1 Zn4 Ag3'
_space_group_name_H-M_alt 'P 1'
_space_group_IT_number 1
_space_group_name_Hall 'P 1'
_cell_length_a 2.934
_cell_length_b 2.934
_cell_length_c 14.913
_cell_angle_alpha 90.00
_cell_angle_beta 90.00
_cell_angle_gamma 90.00
loop_
_atom_site_label
_atom_site_type_symbol
_atom_site_fract_x
_atom_site_fract_y
_atom_site_fract_z
_atom_site_occupancy
Ti1 Ti 0.000 0.000 0.000 1
Zn1 Zn 0.500 0.500 0.123 1
Zn2 Zn 0.500 0.500 0.373 1
Zn3 Zn 0.500 0.500 0.627 1
Zn4 Zn 0.500 0.500 0.877 1
Ag1 Ag 0.000 0.000 0.248 1
Ag2 Ag 0.000 0.000 0.500 1
Ag3 Ag 0.000 0.000 0.752 1
```

2.
Theoretical powder X-ray diffraction pattern
Compound: Sc4FeAg
Radiation: Cu Ka
Structure: a DFT-relaxed cell (GGA-PBE, Alexandria)
Lines closer than 0.1° are merged.

Peak list (10 most intense, 10° ≤ 2θ ≤ 80°, by angle)
two_theta, I/Imax
18.75, 37
22.63, 38
23.10, 31
32.79, 71
34.81, 67
36.06, 100
39.74, 58
40.80, 36
41.44, 27
42.32, 29

Structural model:
```
data_Sc4FeAg
_chemical_formula_sum 'Sc8 Fe2 Ag2'
_space_group_name_H-M_alt 'P 1'
_space_group_IT_number 1
_space_group_name_Hall 'P 1'
_cell_length_a 7.043
_cell_length_b 7.043
_cell_length_c 5.622
_cell_angle_alpha 99.87
_cell_angle_beta 99.87
_cell_angle_gamma 110.09
loop_
_atom_site_label
_atom_site_type_symbol
_atom_site_fract_x
_atom_site_fract_y
_atom_site_fract_z
_atom_site_occupancy
Sc1 Sc 0.066 0.730 0.953 1
Sc2 Sc 0.203 0.363 0.610 1
Sc3 Sc 0.270 0.934 0.547 1
Sc4 Sc 0.363 0.203 0.110 1
Sc5 Sc 0.637 0.797 0.890 1
Sc6 Sc 0.730 0.066 0.453 1
Sc7 Sc 0.797 0.637 0.390 1
Sc8 Sc 0.934 0.270 0.047 1
Fe1 Fe 0.001 0.999 0.750 1
Fe2 Fe 0.999 0.001 0.250 1
Ag1 Ag 0.373 0.627 0.250 1
Ag2 Ag 0.627 0.373 0.750 1
```